Calculated powder diffractogram
Compound: MgTl2Pt
Radiation: a wavelength of 1.5418 Å
Structure: the GGA-PBE geometry in Alexandria
Kinematic intensities with the Lorentz-polarization factor, no thermal factor.

Largest 10 diffraction maxima, sorted by position, 2θ = 15–90°:
| 2θ/deg | d/Å | I/Imax |
| --- | --- | --- |
| 21.42 | 4.148 | 100 |
| 27.84 | 3.205 | 23 |
| 33.52 | 2.673 | 86 |
| 36.92 | 2.435 | 88 |
| 37.75 | 2.383 | 77 |
| 41.68 | 2.167 | 29 |
| 43.15 | 2.097 | 31 |
| 54.51 | 1.683 | 45 |
| 63.26 | 1.470 | 28 |
| 70.42 | 1.337 | 25 |

Crystal structure
Lattice parameters (Å, degrees): 7.636 7.636 7.636 155.58 147.02 41.46
Element x y z (fractional)
Mg 0.000 0.000 0.000
Tl 0.324 0.824 0.500
Tl 0.676 0.176 0.500
Pt 0.500 0.500 0.000

---

Calculated powder diffractogram
Compound: Rb2Pd3S4
Radiation: a wavelength of 1.5418 Å
Structure: the GGA-PBE geometry in Alexandria
Kinematic intensities with the Lorentz-polarization factor, no thermal factor.

Largest 10 diffraction maxima, sorted by position, 2θ = 15–90°:
| 2θ/deg | d/Å | I/Imax |
| --- | --- | --- |
| 23.20 | 3.834 | 71 |
| 25.46 | 3.499 | 63 |
| 32.58 | 2.748 | 51 |
| 32.81 | 2.730 | 41 |
| 33.17 | 2.701 | 100 |
| 35.05 | 2.560 | 55 |
| 35.77 | 2.510 | 53 |
| 36.68 | 2.450 | 55 |
| 52.70 | 1.737 | 73 |
| 58.52 | 1.577 | 39 |

Crystal structure
Lattice parameters (Å, degrees): 14.678 13.959 6.311 83.73 70.97 25.30
Element x y z (fractional)
Rb 0.047 0.047 0.203
Rb 0.203 0.203 0.047
Rb 0.797 0.797 0.953
Rb 0.953 0.953 0.797
Pd 0.126 0.126 0.624
Pd 0.375 0.375 0.375
Pd 0.376 0.376 0.874
Pd 0.624 0.624 0.126
Pd 0.625 0.625 0.625
Pd 0.874 0.874 0.376
S 0.157 0.480 0.262
S 0.262 0.600 0.157
S 0.400 0.738 0.520
S 0.480 0.157 0.600
S 0.520 0.843 0.400
S 0.600 0.262 0.480
S 0.738 0.400 0.843
S 0.843 0.520 0.738